1.
# Li2CdF6
Computed powder X-ray diffraction pattern, λ = 1.5418 Å (Cu Kα). Input: a GGA-PBE-relaxed structure.
Intensities are scaled so that the largest is 100.

Peak list (10 most intense, 2θ from 5° to 70°, by intensity)
d/Å  2θ/deg  I_rel  h k l
3.194  27.9  100  1 0 1
4.553  19.5  89  1 0 0
2.267  39.8  58  1 1 1
1.705  53.8  33  2 -1 2
2.030  44.6  26  2 0 1
1.607  57.4  25  3 -1 1
2.011  45.1  24  1 0 2
4.482  19.8  21  0 0 1
2.276  39.6  19  2 0 0
1.518  61.1  18  3 0 0

Structure:
a = 5.2573 Å, b = 5.2573 Å, c = 4.4821 Å
α = 90.00°, β = 90.00°, γ = 120.00°
Space group P-31m (No. 162)
Asymmetric unit:
Li  0.3333  0.6667  0.0000 [2 per cell]
Cd  0.0000  0.0000  0.5000 [1 per cell]
F  0.0000  0.3461  0.2319 [6 per cell]

***

2.
# Li3CdF6
Computed powder X-ray diffraction pattern, λ = 1.5418 Å (Cu Kα). Input: a GGA-PBE-relaxed structure.
Intensities are scaled so that the largest is 100.

Peak list (10 most intense, 2θ from 5° to 70°, by intensity)
d/Å  2θ/deg  I_rel  h k l
4.335  20.5  100  1 0 1
3.834  23.2  84  0 1 2
2.298  39.2  74  2 -1 3
4.740  18.7  41  0 0 3
2.802  31.9  41  1 0 4
1.760  52.0  40  1 1 6
2.412  37.3  26  0 1 5
1.517  61.1  25  3 0 0
2.247  40.1  22  0 2 1
2.168  41.7  21  2 0 2

Structure:
a = 5.2561 Å, b = 5.2561 Å, c = 14.2188 Å
α = 90.00°, β = 90.00°, γ = 120.00°
Space group R3 (No. 146, hexagonal axes)
Asymmetric unit:
Li  0.0000  0.0000  0.0000 [3 per cell]
Li  0.0000  0.0000  0.2062 [3 per cell]
Li  0.0000  0.0000  0.5000 [3 per cell]
Cd  0.0000  0.0000  0.7052 [3 per cell]
F  0.0103  0.6911  0.6010 [9 per cell]
F  0.0236  0.3078  0.1051 [9 per cell]

***

3.
# Li2Cd3F8
Computed powder X-ray diffraction pattern, λ = 1.5418 Å (Cu Kα). Input: a GGA-PBE-relaxed structure.
Intensities are scaled so that the largest is 100.

Peak list (10 most intense, 2θ from 5° to 70°, by intensity)
d/Å  2θ/deg  I_rel  h k l
5.059  17.5  100  0 2 1
3.611  24.7  59  0 2 2
2.838  31.5  53  2 2 1
4.972  17.8  51  1 1 1
2.287  39.4  44  2 4 0
2.232  40.4  35  0 0 4
2.993  29.9  32  2 2 0
2.215  40.7  32  2 4 1
1.635  56.3  28  2 6 2
1.597  57.7  27  2 4 4

Structure:
a = 6.856 Å, b = 12.278 Å, c = 8.928 Å
α = 90.00°, β = 90.00°, γ = 90.00°
Space group Cmce (No. 64)
Asymmetric unit:
Li  0.000  0.101  0.107 [8 per cell]
Cd  0.000  0.000  0.500 [4 per cell]
Cd  0.250  0.164  0.750 [8 per cell]
F  0.000  0.028  0.753 [8 per cell]
F  0.000  0.223  0.235 [8 per cell]
F  0.242  0.117  0.994 [16 per cell]